Record 1
For Rb5TiTe5, a structure optimized by DFT (PBE) gives the computed powder diffraction line list in this record (copper Kα).

Crystal structure
```
data_Rb5TiTe5
_cell_length_a 16.3578
_cell_length_b 6.8946
_cell_length_c 9.7171
_cell_angle_alpha 90.00
_cell_angle_beta 110.12
_cell_angle_gamma 90.00
_space_group_name_H-M_alt 'C 1 2/m 1'
_space_group_IT_number 12
loop_
_space_group_symop_operation_xyz
'x,y,z'
'-x,-y,-z'
'-x,y,-z'
'x,-y,z'
'x+1/2,y+1/2,z'
'-x+1/2,-y+1/2,-z'
'-x+1/2,y+1/2,-z'
'x+1/2,-y+1/2,z'
loop_
_atom_site_label
_atom_site_type_symbol
_atom_site_fract_x
_atom_site_fract_y
_atom_site_fract_z
Rb1 Rb 0.0000 0.0000 0.0000
Rb2 Rb 0.1663 0.5000 0.3384
Rb3 Rb 0.1988 0.5000 0.8048
Ti1 Ti 0.0000 0.0000 0.5000
Te1 Te 0.0000 0.5000 0.5000
Te2 Te 0.1244 0.0000 0.3718
Te3 Te 0.1324 0.0000 0.7738
```

Largest 10 diffraction maxima, low angle first, 2θ from 10° to 90°:
| 2theta | I (rel.) | index |
| --- | --- | --- |
| 14.08 | 18 | 1 1 0 |
| 24.64 | 30 | 4 0 -2 |
| 25.88 | 100 | 0 2 0 |
| 27.62 | 12 | 2 0 -3 |
| 30.24 | 13 | 5 1 -1 |
| 31.39 | 13 | 3 1 -3 |
| 31.89 | 17 | 5 1 0 |
| 36.01 | 23 | 4 2 -2 |
| 36.93 | 33 | 2 2 2 |
| 45.73 | 10 | 2 2 -4 |

---

Record 2
For BeZn3Ni4, a structure optimized by DFT (PBE) gives the computed powder diffraction line list in this record (copper Kα).

Crystal structure
```
data_BeZn3Ni4
_cell_length_a 2.6545
_cell_length_b 2.6545
_cell_length_c 12.8192
_cell_angle_alpha 90.00
_cell_angle_beta 90.00
_cell_angle_gamma 90.00
_space_group_name_H-M_alt 'P 4/m m m'
_space_group_IT_number 123
_space_group_name_Hall '-P 4 2'
loop_
_atom_site_label
_atom_site_type_symbol
_atom_site_fract_x
_atom_site_fract_y
_atom_site_fract_z
Be1 Be 0.0000 0.0000 0.0000
Zn1 Zn 0.0000 0.0000 0.2348
Zn2 Zn 0.0000 0.0000 0.5000
Ni1 Ni 0.5000 0.5000 0.1004
Ni2 Ni 0.5000 0.5000 0.3671
```

Largest 10 diffraction maxima, low angle first, 2θ from 10° to 90°:
| 2theta | I (rel.) | index |
| --- | --- | --- |
| 36.64 | 7 | 1 0 2 |
| 39.99 | 20 | 1 0 3 |
| 44.31 | 100 | 1 0 4 |
| 48.50 | 44 | 1 1 0 |
| 49.79 | 9 | 0 0 7 |
| 57.51 | 7 | 0 0 8 |
| 71.02 | 13 | 2 0 0 |
| 72.05 | 10 | 1 1 7 |
| 78.48 | 10 | 1 1 8 |
| 87.66 | 25 | 2 1 4 |

---

Record 3
For Ac3Nd5Dy2, a structure optimized by DFT (PBE) gives the computed powder diffraction line list in this record (copper Kα).

Crystal structure
```
data_Ac3Nd5Dy2
_cell_length_a 9.9056
_cell_length_b 9.9078
_cell_length_c 9.9274
_cell_angle_alpha 106.74
_cell_angle_beta 115.04
_cell_angle_gamma 106.69
_space_group_name_H-M_alt 'P -1'
_space_group_IT_number 2
loop_
_space_group_symop_operation_xyz
'x,y,z'
'-x,-y,-z'
loop_
_atom_site_label
_atom_site_type_symbol
_atom_site_fract_x
_atom_site_fract_y
_atom_site_fract_z
Ac1 Ac 0.0298 0.3493 0.0783
Ac2 Ac 0.1821 0.4514 0.5343
Ac3 Ac 0.4267 0.9504 0.2726
Nd1 Nd 0.1222 0.7550 0.3740
Nd2 Nd 0.2220 0.1487 0.6770
Nd3 Nd 0.2735 0.8520 0.8254
Nd4 Nd 0.3692 0.2466 0.1158
Nd5 Nd 0.4799 0.6510 0.4249
Dy1 Dy 0.0743 0.0497 0.2253
Dy2 Dy 0.3337 0.5481 0.9785
```

Largest 10 diffraction maxima, low angle first, 2θ from 10° to 90°:
| 2theta | I (rel.) | index |
| --- | --- | --- |
| 29.17 | 100 | 0 1 2 |
| 33.66 | 17 | 2 -2 2 |
| 33.88 | 34 | 1 3 -1 |
| 48.45 | 12 | 3 1 1 |
| 48.56 | 12 | 1 -5 3 |
| 48.67 | 12 | 4 2 -4 |
| 57.49 | 11 | 1 -4 5 |
| 57.73 | 19 | 1 4 1 |
| 57.80 | 11 | 1 -6 1 |
| 81.31 | 8 | 5 5 -5 |